1.
Diffraction record for Ce5Zn2. The powder diffraction line list is simulated, not measured: it uses a structure optimized by DFT (PBE) and Cu Kα (λ = 1.5418 Å).

Peak list (8 most intense, 2θ = 10–80°, low angle first)
- 33.92°, rel. 100.0
- 34.46°, rel. 95.4
- 38.12°, rel. 35.6
- 39.42°, rel. 32.7
- 41.46°, rel. 29.0
- 57.58°, rel. 21.4
- 58.54°, rel. 20.3
- 65.88°, rel. 13.7

Structural model:
a = 10.3953 Å, b = 4.3556 Å, c = 7.3918 Å
α = 90.00°, β = 100.39°, γ = 90.00°
Space group C2/m (No. 12)
Unique sites:
Ce  0.0000  0.0000  0.0000 [2 per cell]
Ce  0.1511  0.0000  0.4354 [4 per cell]
Ce  0.2114  0.5000  0.1565 [4 per cell]
Zn  0.0686  0.5000  0.7096 [4 per cell]


2.
Diffraction record for SrCaAl4Si4O20. The powder diffraction line list is simulated, not measured: it uses a structure optimized by DFT (PBE) and Cu Kα (λ = 1.5418 Å).

Peak list (8 most intense, 2θ = 10–80°, low angle first)
- 20.93°, rel. 43.1
- 27.18°, rel. 33.7
- 32.72°, rel. 42.9
- 33.34°, rel. 76.1
- 33.83°, rel. 100.0
- 36.18°, rel. 34.1
- 41.86°, rel. 43.4
- 42.32°, rel. 37.2

Structural model:
a = 5.3317 Å, b = 13.1216 Å, c = 5.4065 Å
α = 90.00°, β = 113.38°, γ = 90.00°
Space group Pm (No. 6)
Unique sites:
Sr  0.0000  0.0000  0.0000 [1 per cell]
Ca  0.3468  0.5000  0.6841 [1 per cell]
Al  0.1792  0.2521  0.3435 [2 per cell]
Al  0.6785  0.2533  0.8419 [2 per cell]
Si  0.6685  0.1224  0.3698 [2 per cell]
Si  0.6886  0.3811  0.3170 [2 per cell]
O  0.0211  0.3655  0.4435 [2 per cell]
O  0.0278  0.3156  0.9997 [2 per cell]
O  0.3313  0.1884  0.6881 [2 per cell]
O  0.3383  0.1400  0.2433 [2 per cell]
O  0.4090  0.0000  0.8238 [1 per cell]
O  0.5347  0.3205  0.4849 [2 per cell]
O  0.5552  0.3612  0.9915 [2 per cell]
O  0.6163  0.5000  0.3698 [1 per cell]
O  0.7354  0.0000  0.3361 [1 per cell]
O  0.8053  0.1479  0.6910 [2 per cell]
O  0.8217  0.1818  0.1989 [2 per cell]
O  0.9875  0.5000  0.8708 [1 per cell]


3.
Diffraction record for AcGa5Cu3. The powder diffraction line list is simulated, not measured: it uses a structure optimized by DFT (PBE) and Cu Kα (λ = 1.5418 Å).

Peak list (8 most intense, 2θ = 10–80°, low angle first)
- 29.24°, rel. 31.2
- 30.58°, rel. 53.9
- 31.19°, rel. 100.0
- 33.72°, rel. 96.0
- 35.48°, rel. 35.7
- 36.44°, rel. 47.3
- 44.45°, rel. 55.7
- 53.25°, rel. 38.4

Structural model:
a = 4.0767 Å, b = 12.5812 Å, c = 12.7751 Å
α = 90.00°, β = 90.00°, γ = 90.00°
Space group Cmcm (No. 63)
Unique sites:
Ac  0.0000  0.1659  0.2500 [4 per cell]
Ga  0.0000  0.0000  0.0000 [4 per cell]
Ga  0.0000  0.1983  0.5709 [8 per cell]
Ga  0.0000  0.4520  0.1520 [8 per cell]
Cu  0.0000  0.1196  0.7500 [4 per cell]
Cu  0.0000  0.3878  0.5392 [8 per cell]